[1]
The following is a calculated X-ray powder pattern of Ac8Ru3Br4N. It was derived from a PBE-relaxed structure, using CuKα.

Peak list (10 most intense, 2θ = 5–70°, by angle)
2θ 10.68, rel. 27
2θ 25.39, rel. 29
2θ 28.32, rel. 100
2θ 30.34, rel. 19
2θ 35.23, rel. 22
2θ 38.01, rel. 23
2θ 42.83, rel. 40
2θ 47.29, rel. 15
2θ 52.15, rel. 18
2θ 54.73, rel. 17

Crystal structure
Cell lengths 8.443, 8.443, 9.607 Å; angles 116.01, 116.01, 60.06 degrees
Fractional positions:
Ac1 0.221 0.221 0.684
Ac2 0.221 0.741 0.684
Ac3 0.259 0.779 0.316
Ac4 0.266 0.266 0.297
Ac5 0.734 0.734 0.703
Ac6 0.741 0.221 0.684
Ac7 0.779 0.259 0.316
Ac8 0.779 0.779 0.316
Ru1 0.000 0.500 0.500
Ru2 0.500 0.000 0.500
Ru3 0.500 0.500 0.500
Br1 0.000 0.000 0.000
Br2 0.000 0.500 0.000
Br3 0.500 0.000 0.000
Br4 0.500 0.500 0.000
N1 0.000 0.000 0.500


[2]
The following is a calculated X-ray powder pattern of AuI2. It was derived from a PBE-relaxed structure, using CuKα.

Peak list (10 most intense, 2θ = 5–70°, by angle)
2θ 11.48, rel. 48
2θ 15.28, rel. 12
2θ 20.00, rel. 100
2θ 27.15, rel. 13
2θ 27.58, rel. 12
2θ 30.88, rel. 15
2θ 31.92, rel. 11
2θ 40.65, rel. 14
2θ 41.06, rel. 15
2θ 45.48, rel. 10

Crystal structure
Cell lengths 5.107, 6.870, 8.065 Å; angles 74.07, 81.80, 82.01 degrees
Fractional positions:
Au1 0.000 0.000 0.000
Au2 0.155 0.387 0.863
I1 0.329 0.088 0.712
I2 0.420 0.648 0.602
I3 0.662 0.074 0.259
I4 0.915 0.595 0.087


[3]
The following is a calculated X-ray powder pattern of Nd5Sm2Tm12. It was derived from a PBE-relaxed structure, using CuKα.

Peak list (10 most intense, 2θ = 5–70°, by angle)
2θ 30.05, rel. 55
2θ 31.30, rel. 28
2θ 31.47, rel. 69
2θ 31.78, rel. 100
2θ 31.92, rel. 96
2θ 32.34, rel. 95
2θ 32.45, rel. 94
2θ 33.57, rel. 33
2θ 47.57, rel. 24
2θ 63.23, rel. 32

Crystal structure
Cell lengths 6.745, 8.637, 11.739 Å; angles 105.84, 103.13, 103.29 degrees
Fractional positions:
Nd1 0.000 0.000 0.000
Nd2 0.169 0.671 0.005
Nd3 0.263 0.102 0.610
Nd4 0.737 0.898 0.390
Nd5 0.831 0.329 0.995
Sm1 0.387 0.685 0.535
Sm2 0.613 0.315 0.465
Tm1 0.065 0.249 0.371
Tm2 0.113 0.462 0.692
Tm3 0.210 0.893 0.300
Tm4 0.313 0.299 0.916
Tm5 0.345 0.474 0.223
Tm6 0.439 0.896 0.845
Tm7 0.561 0.104 0.155
Tm8 0.655 0.526 0.777
Tm9 0.687 0.701 0.084
Tm10 0.790 0.107 0.700
Tm11 0.887 0.538 0.308
Tm12 0.935 0.751 0.629


[4]
The following is a calculated X-ray powder pattern of Ba4HgH. It was derived from a PBE-relaxed structure, using CuKα.

Peak list (10 most intense, 2θ = 5–70°, by angle)
2θ 15.89, rel. 35
2θ 24.52, rel. 100
2θ 25.44, rel. 88
2θ 26.69, rel. 53
2θ 27.15, rel. 83
2θ 27.65, rel. 55
2θ 30.43, rel. 39
2θ 32.07, rel. 92
2θ 35.21, rel. 43
2θ 44.85, rel. 54

Crystal structure
Cell lengths 7.014, 11.155, 7.027 Å; angles 90.00, 94.12, 90.00 degrees
Fractional positions:
Ba1 0.168 0.250 0.271
Ba2 0.230 0.750 0.333
Ba3 0.275 0.040 0.776
Ba4 0.275 0.460 0.776
Ba5 0.725 0.540 0.224
Ba6 0.725 0.960 0.224
Ba7 0.770 0.250 0.667
Ba8 0.832 0.750 0.729
Hg1 0.372 0.750 0.874
Hg2 0.628 0.250 0.126
H1 0.142 0.250 0.642
H2 0.858 0.750 0.358